For HfMnTc, a crystal structure in Alexandria, relaxed with GGA-PBE gives the simulated PXRD pattern in this record (CuKα).
Kinematic intensities with the Lorentz-polarization factor, no thermal factor.

Peak list (6 most intense, 10° ≤ 2θ ≤ 90°, sorted by position)
2θ 35.07, rel. 60.0; 2θ 41.37, rel. 100.0; 2θ 43.30, rel. 17.0; 2θ 62.90, rel. 22.5; 2θ 67.21, rel. 26.3; 2θ 74.08, rel. 19.2

Atomic structure:
a b c (Å): 5.118 5.118 5.118
angles (deg): 120.07 119.94 89.99
Atoms (fractional coordinates):
Hf 0.375 0.125 0.250
Hf 0.625 0.875 0.750
Mn 0.000 0.000 0.500
Mn 0.000 0.500 0.000
Tc 0.000 0.500 0.500
Tc 0.500 0.500 0.000